(1)
# TbGdFe2Si2C
Simulated X-ray diffraction stick pattern, λ = 1.5418 Å (Cu Kα). Input: a structure optimized by DFT (PBE).

Structure:
```
data_TbGdFe2Si2C
_chemical_formula_sum 'Tb2 Gd2 Fe4 Si4 C2'
_space_group_name_H-M_alt 'C 1 m 1'
_space_group_IT_number 8
_cell_length_a 10.6099
_cell_length_b 3.9419
_cell_length_c 6.7922
_cell_angle_alpha 90.00
_cell_angle_beta 129.61
_cell_angle_gamma 90.00
loop_
_space_group_symop_operation_xyz
'x,y,z'
'x,-y,z'
'x+1/2,y+1/2,z'
'x+1/2,-y+1/2,z'
loop_
_atom_site_label
_atom_site_fract_x
_atom_site_fract_y
_atom_site_fract_z
Tb1 0.0000 0.0000 0.0000
Gd1 0.1194 0.0000 0.5888
Fe1 0.2598 0.5000 0.3876
Fe2 0.3586 0.0000 0.1994
Si1 0.2226 0.5000 0.0140
Si2 0.3962 0.0000 0.5742
C1 0.0588 0.5000 0.2923
```

Largest 6 diffraction maxima, by angle, 10 to 90 degrees two-theta:
- d 3.551, I 51, (1 1 0)
- d 3.396, I 25, (2 0 -2)
- d 2.617, I 98, (3 1 -1)
- d 2.529, I 49, (4 0 -1)
- d 2.455, I 100, (1 1 -2)
- d 1.971, I 27, (0 2 0)

(2)
# La2AgSn2Au
Simulated X-ray diffraction stick pattern, λ = 1.5418 Å (Cu Kα). Input: a structure optimized by DFT (PBE).

Structure:
```
data_La2AgSn2Au
_chemical_formula_sum 'La2 Ag1 Sn2 Au1'
_space_group_name_H-M_alt 'P 3 m 1'
_space_group_IT_number 156
_cell_length_a 4.8340
_cell_length_b 4.8340
_cell_length_c 7.8469
_cell_angle_alpha 90.00
_cell_angle_beta 90.00
_cell_angle_gamma 120.00
loop_
_space_group_symop_operation_xyz
'x,y,z'
'-y,x-y,z'
'-x+y,-x,z'
'-y,-x,z'
'-x+y,y,z'
'x,x-y,z'
loop_
_atom_site_label
_atom_site_fract_x
_atom_site_fract_y
_atom_site_fract_z
La1 0.0000 0.0000 0.0000
La2 0.0000 0.0000 0.4961
Ag1 0.6667 0.3333 0.7984
Sn1 0.3333 0.6667 0.7194
Sn2 0.6667 0.3333 0.2168
Au1 0.3333 0.6667 0.3023
```

Largest 6 diffraction maxima, by angle, 10 to 90 degrees two-theta:
- d 2.863, I 100, (1 0 2)
- d 2.417, I 80, (1 1 0)
- d 2.218, I 22, (1 0 3)
- d 1.847, I 28, (0 2 2)
- d 1.468, I 37, (2 1 2)
- d 1.114, I 21, (1 3 2)

(3)
# CsGdCoS3
Simulated X-ray diffraction stick pattern, λ = 1.5418 Å (Cu Kα). Input: a structure optimized by DFT (PBE).

Structure:
```
data_CsGdCoS3
_chemical_formula_sum 'Cs4 Gd4 Co4 S12'
_space_group_name_H-M_alt 'C m c m'
_space_group_IT_number 63
_space_group_name_Hall '-C 2c 2'
_cell_length_a 3.9921
_cell_length_b 15.6104
_cell_length_c 10.5729
_cell_angle_alpha 90.00
_cell_angle_beta 90.00
_cell_angle_gamma 90.00
loop_
_atom_site_label
_atom_site_fract_x
_atom_site_fract_y
_atom_site_fract_z
Cs1 0.0000 0.2417 0.2500
Gd1 0.0000 0.5000 0.0000
Co1 0.0000 0.0340 0.7500
S1 0.0000 0.1127 0.5705
S2 0.0000 0.4510 0.7500
```

Largest 6 diffraction maxima, by angle, 10 to 90 degrees two-theta:
- d 7.805, I 69, (0 2 0)
- d 4.377, I 100, (0 2 2)
- d 3.903, I 65, (0 4 0)
- d 3.121, I 51, (1 1 2)
- d 3.034, I 91, (1 3 1)
- d 2.230, I 53, (1 5 2)

(4)
# Tb4YBi5
Simulated X-ray diffraction stick pattern, λ = 1.5418 Å (Cu Kα). Input: a structure optimized by DFT (PBE).

Structure:
```
data_Tb4YBi5
_chemical_formula_sum 'Tb8 Y2 Bi10'
_space_group_name_H-M_alt 'I 4/m m m'
_space_group_IT_number 139
_space_group_name_Hall '-I 4 2'
_cell_length_a 4.4777
_cell_length_b 4.4777
_cell_length_c 31.6594
_cell_angle_alpha 90.00
_cell_angle_beta 90.00
_cell_angle_gamma 90.00
loop_
_atom_site_label
_atom_site_fract_x
_atom_site_fract_y
_atom_site_fract_z
Tb1 0.0000 0.0000 0.0999
Tb2 0.0000 0.0000 0.3000
Y1 0.0000 0.0000 0.5000
Bi1 0.0000 0.0000 0.0000
Bi2 0.0000 0.0000 0.2000
Bi3 0.0000 0.0000 0.4001
```

Largest 6 diffraction maxima, by angle, 10 to 90 degrees two-theta:
- d 3.166, I 100, (1 1 0)
- d 2.239, I 78, (2 0 0)
- d 1.828, I 28, (2 0 10)
- d 1.583, I 13, (2 2 0)
- d 1.416, I 37, (3 1 0)
- d 1.293, I 28, (3 1 10)

> Which formula does entry 4 have?

Tb4YBi5

> Which formula does entry 3 have?

CsGdCoS3

> Number 4 is which compound?

Tb4YBi5